Simulated powder diffraction line list
Compound: CaGd2Sn
Radiation: Cu Kα (weighted mean of Kα1 and Kα2)
Structure: a crystal structure in Alexandria, relaxed with PBE
Kinematic intensities with the Lorentz-polarization factor, no thermal factor.

Cell and atoms:
Lattice parameters (Å, degrees): 4.908 4.908 4.885 90.00 90.00 90.00
Space group P4/mmm (No. 123)
Symmetry-distinct sites (fractional):
Ca 0.000 0.000 0.000 (multiplicity 1)
Gd 0.000 0.500 0.500 (multiplicity 2)
Sn 0.500 0.500 0.000 (multiplicity 1)

Principal peaks in the range 5 to 70 degrees two-theta, by intensity:
(1 1 1), 31.6°, I 100
(2 0 0), 36.6°, I 34
(3 1 1), 62.8°, I 28
(2 0 2), 52.9°, I 23
(0 0 2), 36.8°, I 17
(0 0 1), 18.1°, I 14
(1 1 3), 63.1°, I 14
(1 1 0), 25.7°, I 13
(2 2 2), 66.0°, I 12
(2 2 0), 52.7°, I 12
(2 0 1), 41.2°, I 6
(1 1 2), 45.4°, I 4

=====

Simulated powder diffraction line list
Compound: CaGe2
Radiation: Cu Kα (weighted mean of Kα1 and Kα2)
Structure: a crystal structure in Alexandria, relaxed with PBE
Kinematic intensities with the Lorentz-polarization factor, no thermal factor.

Cell and atoms:
Lattice parameters (Å, degrees): 4.0425 4.0425 10.1942 90.00 90.00 120.00
Space group P6_3mc (No. 186)
Symmetry-distinct sites (fractional):
Ca 0.3333 0.6667 0.0000 (multiplicity 2)
Ge 0.0000 0.0000 0.2070 (multiplicity 2)
Ge 0.3333 0.6667 0.3134 (multiplicity 2)

Principal peaks in the range 5 to 70 degrees two-theta, by intensity:
(1 0 2), 31.0°, I 100
(1 1 0), 44.8°, I 83
(1 0 3), 36.9°, I 79
(1 0 1), 26.9°, I 69
(1 0 4), 43.9°, I 53
(0 0 2), 17.4°, I 49
(1 1 2), 48.4°, I 22
(1 0 6), 60.6°, I 22
(2 0 3), 59.4°, I 19
(2 0 2), 55.5°, I 18
(2 0 4), 64.6°, I 17
(1 1 4), 58.3°, I 11

=====

Simulated powder diffraction line list
Compound: Ca3Ge
Radiation: Cu Kα (weighted mean of Kα1 and Kα2)
Structure: a crystal structure in Alexandria, relaxed with PBE
Kinematic intensities with the Lorentz-polarization factor, no thermal factor.

Cell and atoms:
Lattice parameters (Å, degrees): 5.424 13.128 7.233 90.00 90.00 90.00
Space group Cmc2_1 (No. 36)
Symmetry-distinct sites (fractional):
Ca 0.000 0.051 0.000 (multiplicity 4)
Ca 0.000 0.321 0.705 (multiplicity 4)
Ca 0.000 0.366 0.164 (multiplicity 4)
Ge 0.000 0.170 0.401 (multiplicity 4)

Principal peaks in the range 5 to 70 degrees two-theta, by intensity:
(1 1 2), 30.5°, I 100
(1 3 2), 36.2°, I 97
(2 0 0), 33.0°, I 72
(0 4 1), 29.9°, I 61
(1 1 1), 21.6°, I 41
(0 2 1), 18.3°, I 39
(1 3 1), 29.0°, I 38
(2 4 1), 45.1°, I 37
(1 1 3), 41.6°, I 34
(1 5 1), 40.1°, I 33
(0 2 0), 13.5°, I 21
(3 3 2), 61.1°, I 20